Computed powder XRD pattern of Sc8Te3 for a wavelength of 1.5418 Å, from a PBE-relaxed structure.
Intensities are scaled so that the largest is 100.

Structure:
Cell lengths 14.6938, 14.6938, 22.5048 Å; angles 122.32, 122.32, 15.07 degrees
Fractional positions:
Sc 0.0082 0.0082 0.4129
Sc 0.0118 0.0118 0.9325
Sc 0.0614 0.0614 0.7850
Sc 0.1508 0.1508 0.6903
Sc 0.1674 0.1674 0.3478
Sc 0.2013 0.2013 0.9703
Sc 0.2392 0.2392 0.5424
Sc 0.2767 0.2767 0.8977
Sc 0.2873 0.2873 0.3664
Sc 0.3027 0.3027 0.7457
Sc 0.3287 0.3287 0.1554
Sc 0.3660 0.3660 0.5625
Sc 0.4081 0.4081 0.0893
Sc 0.4262 0.4262 0.9316
Sc 0.4378 0.4378 0.4467
Sc 0.4617 0.4617 0.7861
Sc 0.5383 0.5383 0.2139
Sc 0.5622 0.5622 0.5533
Sc 0.5738 0.5738 0.0684
Sc 0.5919 0.5919 0.9107
Sc 0.6340 0.6340 0.4375
Sc 0.6713 0.6713 0.8446
Sc 0.6973 0.6973 0.2543
Sc 0.7127 0.7127 0.6336
Sc 0.7233 0.7233 0.1023
Sc 0.7608 0.7608 0.4576
Sc 0.7987 0.7987 0.0297
Sc 0.8326 0.8326 0.6522
Sc 0.8492 0.8492 0.3097
Sc 0.9386 0.9386 0.2150
Sc 0.9882 0.9882 0.0675
Sc 0.9918 0.9918 0.5871
Te 0.0563 0.0563 0.3266
Te 0.1046 0.1046 0.1862
Te 0.1303 0.1303 0.5380
Te 0.1312 0.1312 0.0307
Te 0.2594 0.2594 0.2204
Te 0.4258 0.4258 0.3073
Te 0.5742 0.5742 0.6927
Te 0.7406 0.7406 0.7796
Te 0.8688 0.8688 0.9693
Te 0.8697 0.8697 0.4620
Te 0.8954 0.8954 0.8138
Te 0.9437 0.9437 0.6734

Largest 10 diffraction maxima, low angle first, 2θ from 10° to 80°:
2θ = 23.41°, intensity 35; 2θ = 24.64°, intensity 39; 2θ = 25.06°, intensity 42; 2θ = 33.47°, intensity 40; 2θ = 33.92°, intensity 50; 2θ = 34.59°, intensity 34; 2θ = 34.93°, intensity 47; 2θ = 35.33°, intensity 100; 2θ = 38.49°, intensity 38; 2θ = 47.16°, intensity 60